Computed X-ray powder pattern
Compound: LiMoAsO6
Radiation: a wavelength of 1.5418 Å
Structure: a structure optimized by DFT (PBE+U)
No peak broadening, texture or thermal motion is included.

Cell: 9.570 5.010 9.102 Å, 90.00 90.00 90.00°
Element x y z (fractional)
1 Li 0.122 0.105 0.000
2 Li 0.378 0.605 0.500
3 Li 0.622 0.395 0.000
4 Li 0.878 0.895 0.500
5 Mo 0.161 0.111 0.646
6 Mo 0.339 0.611 0.146
7 Mo 0.661 0.389 0.646
8 Mo 0.839 0.889 0.146
9 As 0.051 0.399 0.326
10 As 0.449 0.899 0.826
11 As 0.551 0.101 0.326
12 As 0.949 0.601 0.826
13 O 0.004 0.799 0.685
14 O 0.016 0.237 0.492
15 O 0.025 0.293 0.820
16 O 0.233 0.447 0.320
17 O 0.245 0.904 0.142
18 O 0.250 0.418 0.019
19 O 0.250 0.918 0.519
20 O 0.255 0.404 0.642
21 O 0.267 0.947 0.820
22 O 0.475 0.793 0.320
23 O 0.484 0.737 0.992
24 O 0.496 0.299 0.185
25 O 0.504 0.701 0.685
26 O 0.516 0.263 0.492
27 O 0.525 0.207 0.820
28 O 0.733 0.053 0.320
29 O 0.745 0.596 0.142
30 O 0.750 0.082 0.019
31 O 0.750 0.582 0.519
32 O 0.755 0.096 0.642
33 O 0.767 0.553 0.820
34 O 0.975 0.707 0.320
35 O 0.984 0.763 0.992
36 O 0.996 0.201 0.185

Main lines, low angle first (5° ≤ 2θ ≤ 70°):
d/Å  2θ (°)  Rel. int.  (hkl)
4.551  19.51  34  0 0 2
4.389  20.23  38  0 1 1
4.235  20.97  58  2 0 1
3.990  22.28  100  1 1 1
3.460  25.75  53  2 1 0
3.298  27.04  58  2 0 2
3.178  28.08  92  1 1 2
2.691  33.30  33  3 1 0
2.562  35.02  45  2 0 3
2.315  38.91  34  4 0 1